Si2Mo: computed powder diffractogram (Cu Kα (λ = 1.5418 Å)), based on a DFT-relaxed cell (PBE, the Materials Project).
No peak broadening, texture or thermal motion is included.

Largest 8 diffraction maxima, in order of rising 2θ, 2θ = 15–90°:
| h k l | 2θ (°) | I_rel |
| --- | --- | --- |
| 0 0 2 | 22.60 | 31.6 |
| 1 0 1 | 29.98 | 60.1 |
| 1 1 0 | 39.58 | 71.2 |
| 1 0 3 | 44.55 | 100.0 |
| 1 1 2 | 46.07 | 23.3 |
| 2 0 0 | 57.21 | 23.3 |
| 2 1 3 | 75.28 | 41.7 |
| 1 1 6 | 85.43 | 15.4 |

Unit cell a=3.2204 b=3.2204 c=7.8690 alpha=90.00 beta=90.00 gamma=90.00
Space group I4/mmm (No. 139)
One atom of each set of equivalent atoms:
Si 0.0000 0.0000 0.1648 x4
Mo 0.0000 0.0000 0.5000 x2